Structure and simulated X-ray diffraction stick pattern of CoBP2HPbO9 (DFT lattice parameters and positions (PBE+U); Cu Kα (weighted mean of Kα1 and Kα2)).
No peak broadening, texture or thermal motion is included.

Crystal structure
Lattice parameters (Å, degrees): 5.148 7.817 8.350 89.87 79.54 87.80
Space group P-1 (No. 2)
One atom of each set of equivalent atoms:
Co (0.233, 0.300, 0.195) [2 per cell]
B (0.374, 0.250, 0.542) [2 per cell]
P (0.272, 0.437, 0.818) [2 per cell]
P (0.306, 0.933, 0.705) [2 per cell]
H (0.008, 0.321, 0.493) [2 per cell]
Pb (0.225, 0.809, 0.091) [2 per cell]
O (0.017, 0.530, 0.202) [2 per cell]
O (0.056, 0.878, 0.820) [2 per cell]
O (0.194, 0.319, 0.439) [2 per cell]
O (0.228, 0.110, 0.638) [2 per cell]
O (0.279, 0.286, 0.939) [2 per cell]
O (0.371, 0.808, 0.556) [2 per cell]
O (0.398, 0.596, 0.868) [2 per cell]
O (0.448, 0.376, 0.653) [2 per cell]
O (0.462, 0.062, 0.204) [2 per cell]

The 12 most intense peaks (10 to 90 degrees two-theta), sorted by position:
two_theta, I/Imax, h k l
10.77, 100.0, 0 0 1
21.72, 15.1, 1 1 1
22.77, 17.9, 0 2 0
24.52, 20.3, 0 1 2
25.34, 25.9, 1 0 2
28.07, 19.5, 1 -1 2
29.23, 26.3, 1 2 1
29.43, 21.2, 1 -2 0
31.54, 19.7, 0 2 -2
32.59, 20.5, -1 2 1
34.78, 16.5, 0 1 3
35.49, 17.2, 2 0 0